Starting from a cell relaxed with GGA-PBE, the X-ray diffraction stick pattern of V2As3 was computed for copper Kα.
Lines closer than 0.1° are merged.

Most intense lines, 2θ from 10° to 80°, in order of falling intensity:
| 2θ/deg | I/Imax | h k l |
| --- | --- | --- |
| 34.9 | 100 | 1 1 1 |
| 35.0 | 89 | 1 1 -2 |
| 40.7 | 56 | 1 1 -3 |
| 56.8 | 49 | 0 2 0 |
| 54.5 | 48 | 3 1 -1 |
| 42.9 | 39 | 2 0 2 |
| 31.8 | 38 | 2 0 -2 |
| 43.3 | 28 | 2 0 -4 |

Crystal structure
```
V2As3
1.0
5.943 0.000 0.000
0.000 3.244 0.000
-2.887 0.000 8.894
V As
4 6
Cartesian
0.164 0.811 1.301
0.041 0.811 4.414
3.015 2.433 4.481
2.892 2.433 7.593
-1.814 0.811 6.144
1.739 2.433 0.229
1.010 2.433 5.970
2.046 0.811 2.925
1.317 0.811 8.666
4.870 2.433 2.751
```